No. 1
Calculated powder XRD pattern
Compound: LiVF4
Radiation: a wavelength of 1.5418 Å
Structure: a cell relaxed with GGA+U

Cell and atoms:
```
data_LiVF4
_chemical_formula_sum 'Li2 V2 F8'
_symmetry_space_group_name_H-M 'P 1'
_symmetry_Int_Tables_number 1
_cell_length_a 5.6425
_cell_length_b 5.6425
_cell_length_c 5.6425
_cell_angle_alpha 107.56
_cell_angle_beta 107.56
_cell_angle_gamma 113.37
loop_
_symmetry_equiv_pos_as_xyz
'x,y,z'
loop_
_atom_site_label
_atom_site_fract_x
_atom_site_fract_y
_atom_site_fract_z
Li1 0.0000 0.0000 0.0000
Li2 0.7500 0.2500 0.5000
V1 0.2736 0.7736 0.5000
V2 0.5236 0.5236 0.0000
F1 0.2232 0.5223 0.7008
F2 0.2723 0.0715 0.7992
F3 0.2723 0.4732 0.2008
F4 0.3013 0.9999 0.3013
F5 0.6986 0.9999 0.6987
F6 0.7499 0.5513 0.8013
F7 0.7499 0.9486 0.1987
F8 0.8215 0.5223 0.2992
```

The 10 most intense peaks (10 to 90 degrees two-theta), by angle:
2theta	I/Imax
19.55	100
26.74	74
33.34	38
34.64	18
39.71	59
42.89	18
52.49	54
55.09	22
59.67	12
66.73	27

***

No. 2
Calculated powder XRD pattern
Compound: Li3CrBAsO7
Radiation: a wavelength of 1.5418 Å
Structure: a cell relaxed with GGA+U

Cell and atoms:
```
data_Li3CrBAsO7
_chemical_formula_sum 'Li6 Cr2 B2 As2 O14'
_symmetry_space_group_name_H-M 'P 1'
_symmetry_Int_Tables_number 1
_cell_length_a 5.1188
_cell_length_b 6.5245
_cell_length_c 8.5574
_cell_angle_alpha 90.00
_cell_angle_beta 95.30
_cell_angle_gamma 90.00
loop_
_symmetry_equiv_pos_as_xyz
'x,y,z'
loop_
_atom_site_label
_atom_site_fract_x
_atom_site_fract_y
_atom_site_fract_z
Li1 0.2384 0.2500 0.0934
Li2 0.2523 0.0096 0.7745
Li3 0.2523 0.4904 0.7745
Li4 0.7477 0.5096 0.2255
Li5 0.7477 0.9904 0.2255
Li6 0.7616 0.7500 0.9066
Cr1 0.2114 0.7500 0.3122
Cr2 0.7886 0.2500 0.6878
B1 0.2967 0.7500 0.0373
B2 0.7033 0.2500 0.9627
As1 0.2729 0.2500 0.4223
As2 0.7271 0.7500 0.5777
O1 0.0415 0.7500 0.0861
O2 0.1398 0.2500 0.5982
O3 0.1749 0.0545 0.2943
O4 0.1749 0.4455 0.2943
O5 0.3604 0.7500 0.8872
O6 0.3926 0.7500 0.5331
O7 0.4901 0.7500 0.1657
O8 0.5099 0.2500 0.8343
O9 0.6074 0.2500 0.4669
O10 0.6396 0.2500 0.1128
O11 0.8251 0.5545 0.7057
O12 0.8251 0.9455 0.7057
O13 0.8602 0.7500 0.4018
O14 0.9585 0.2500 0.9139
```

The 10 most intense peaks (10 to 90 degrees two-theta), by angle:
2theta	I/Imax
10.38	100
19.45	38
21.12	32
25.19	38
25.99	35
27.34	72
35.22	17
35.83	17
44.75	19
56.42	20

***

No. 3
Calculated powder XRD pattern
Compound: CoP2H8O10
Radiation: a wavelength of 1.5418 Å
Structure: a cell relaxed with GGA+U

Cell and atoms:
```
data_CoP2H8O10
_chemical_formula_sum 'Co2 P4 H16 O20'
_symmetry_space_group_name_H-M 'P 1'
_symmetry_Int_Tables_number 1
_cell_length_a 5.3704
_cell_length_b 9.9948
_cell_length_c 8.7031
_cell_angle_alpha 90.00
_cell_angle_beta 123.81
_cell_angle_gamma 90.00
loop_
_symmetry_equiv_pos_as_xyz
'x,y,z'
loop_
_atom_site_label
_atom_site_fract_x
_atom_site_fract_y
_atom_site_fract_z
Co1 0.0000 0.0000 0.0000
Co2 0.0000 0.5000 0.5000
P1 0.0871 0.2166 0.3359
P2 0.0871 0.2834 0.8359
P3 0.9129 0.7166 0.1641
P4 0.9129 0.7834 0.6641
H1 0.1262 0.7233 0.0121
H2 0.1262 0.7767 0.5121
H3 0.4118 0.0772 0.8381
H4 0.4118 0.4228 0.3381
H5 0.4215 0.5485 0.2343
H6 0.4215 0.9515 0.7343
H7 0.4408 0.1097 0.5947
H8 0.4408 0.3903 0.0947
H9 0.5592 0.6097 0.9053
H10 0.5592 0.8903 0.4053
H11 0.5785 0.0485 0.2657
H12 0.5785 0.4515 0.7657
H13 0.5882 0.5772 0.6619
H14 0.5882 0.9228 0.1619
H15 0.8738 0.2233 0.4879
H16 0.8738 0.2767 0.9879
O1 0.0224 0.6721 0.3599
O2 0.0224 0.8279 0.8599
O3 0.1357 0.1322 0.8674
O4 0.1357 0.3678 0.3674
O5 0.1522 0.6699 0.1217
O6 0.1522 0.8301 0.6217
O7 0.3885 0.1386 0.4691
O8 0.3885 0.3614 0.9691
O9 0.4686 0.5365 0.7069
O10 0.4686 0.9635 0.2069
O11 0.5314 0.0365 0.7931
O12 0.5314 0.4635 0.2931
O13 0.6115 0.6386 0.0309
O14 0.6115 0.8614 0.5309
O15 0.8478 0.1699 0.3783
O16 0.8478 0.3301 0.8783
O17 0.8643 0.6322 0.6326
O18 0.8643 0.8678 0.1326
O19 0.9776 0.1721 0.1401
O20 0.9776 0.3279 0.6401
```

The 10 most intense peaks (10 to 90 degrees two-theta), by angle:
2theta	I/Imax
15.12	67
18.80	59
19.90	97
26.21	55
27.90	100
29.52	48
30.15	34
32.13	19
38.11	38
40.43	19

***

No. 4
Calculated powder XRD pattern
Compound: VPbO3
Radiation: a wavelength of 1.5418 Å
Structure: a cell relaxed with GGA+U

Cell and atoms:
```
data_VPbO3
_chemical_formula_sum 'V1 Pb1 O3'
_symmetry_space_group_name_H-M 'P 1'
_symmetry_Int_Tables_number 1
_cell_length_a 3.9326
_cell_length_b 3.9326
_cell_length_c 3.9326
_cell_angle_alpha 90.00
_cell_angle_beta 90.00
_cell_angle_gamma 90.00
loop_
_symmetry_equiv_pos_as_xyz
'x,y,z'
loop_
_atom_site_label
_atom_site_fract_x
_atom_site_fract_y
_atom_site_fract_z
V1 0.0000 0.0000 0.0000
Pb1 0.5000 0.5000 0.5000
O1 0.0000 0.0000 0.5000
O2 0.0000 0.5000 0.0000
O3 0.5000 0.0000 0.0000
```

The 10 most intense peaks (10 to 90 degrees two-theta), by angle:
2theta	I/Imax
22.61	37
32.19	100
39.70	28
46.17	29
52.00	19
57.39	40
67.35	18
72.05	10
76.62	18
81.11	10

***

No. 5
Calculated powder XRD pattern
Compound: Li9Mn2Co5O16
Radiation: a wavelength of 1.5418 Å
Structure: a cell relaxed with GGA+U

Cell and atoms:
```
data_Li9Mn2Co5O16
_chemical_formula_sum 'Li9 Mn2 Co5 O16'
_symmetry_space_group_name_H-M 'P 1'
_symmetry_Int_Tables_number 1
_cell_length_a 5.9167
_cell_length_b 6.4522
_cell_length_c 8.6051
_cell_angle_alpha 82.92
_cell_angle_beta 70.66
_cell_angle_gamma 66.00
loop_
_symmetry_equiv_pos_as_xyz
'x,y,z'
loop_
_atom_site_label
_atom_site_fract_x
_atom_site_fract_y
_atom_site_fract_z
Li1 0.0000 0.0000 0.0000
Li2 0.0012 0.2537 0.2444
Li3 0.0060 0.7406 0.7616
Li4 0.2516 0.4970 0.9999
Li5 0.4910 0.7398 0.7638
Li6 0.5002 0.4966 0.5084
Li7 0.5016 0.9987 0.0005
Li8 0.5040 0.2509 0.2466
Li9 0.9949 0.4969 0.5076
Mn1 0.7498 0.9989 0.5064
Mn2 0.7584 0.7415 0.2522
Co1 0.2469 0.2523 0.7571
Co2 0.2524 0.9974 0.5060
Co3 0.2534 0.7436 0.2502
Co4 0.7386 0.2555 0.7562
Co5 0.7504 0.4950 0.0044
O1 0.0987 0.5297 0.2557
O2 0.1074 0.2627 0.9897
O3 0.1224 0.7700 0.4896
O4 0.1383 0.0111 0.7412
O5 0.3641 0.4819 0.7521
O6 0.3797 0.2269 0.5137
O7 0.3861 0.7341 0.0226
O8 0.3946 0.9679 0.2662
O9 0.6375 0.2618 0.9911
O10 0.6380 0.7565 0.4940
O11 0.6438 0.5029 0.2453
O12 0.6452 0.0043 0.7443
O13 0.8504 0.4902 0.7678
O14 0.8572 0.7380 0.0185
O15 0.8567 0.9899 0.2644
O16 0.8684 0.2366 0.5131
```

The 10 most intense peaks (10 to 90 degrees two-theta), by angle:
2theta	I/Imax
18.49	100
34.92	17
36.72	23
37.44	8
42.07	31
44.65	51
47.75	9
58.80	10
62.99	23
63.10	7

***

No. 6
Calculated powder XRD pattern
Compound: Li9Mn2Co5O16
Radiation: a wavelength of 1.5418 Å
Structure: a cell relaxed with GGA+U

Cell and atoms:
```
data_Li9Mn2Co5O16
_chemical_formula_sum 'Li9 Mn2 Co5 O16'
_symmetry_space_group_name_H-M 'P 1'
_symmetry_Int_Tables_number 1
_cell_length_a 5.0718
_cell_length_b 5.1266
_cell_length_c 11.5806
_cell_angle_alpha 90.58
_cell_angle_beta 90.75
_cell_angle_gamma 109.46
loop_
_symmetry_equiv_pos_as_xyz
'x,y,z'
loop_
_atom_site_label
_atom_site_fract_x
_atom_site_fract_y
_atom_site_fract_z
Li1 0.0000 0.0000 0.0000
Li2 0.9997 0.4992 0.3747
Li3 0.0021 0.9993 0.7497
Li4 0.4942 0.9962 0.1258
Li5 0.5001 0.9985 0.8763
Li6 0.5015 0.0006 0.6193
Li7 0.5073 0.0057 0.3702
Li8 0.9969 0.0010 0.2538
Li9 0.9984 0.9962 0.4915
Mn1 0.0035 0.5030 0.6161
Mn2 0.4972 0.4932 0.2547
Co1 0.0041 0.5032 0.8765
Co2 0.4990 0.4942 0.9997
Co3 0.5000 0.4989 0.4973
Co4 0.5038 0.5050 0.7482
Co5 0.9976 0.4957 0.1317
O1 0.2377 0.7298 0.9940
O2 0.2426 0.7271 0.7429
O3 0.2507 0.7206 0.2416
O4 0.2514 0.7206 0.5058
O5 0.2573 0.2848 0.6190
O6 0.2577 0.2641 0.1291
O7 0.2634 0.2664 0.8742
O8 0.2778 0.2702 0.3735
O9 0.7155 0.7240 0.3750
O10 0.7273 0.7221 0.1282
O11 0.7337 0.2689 0.2458
O12 0.7384 0.7336 0.8726
O13 0.7493 0.2765 0.5061
O14 0.7571 0.7225 0.6191
O15 0.7600 0.2700 0.9996
O16 0.7718 0.2799 0.7463
```

The 10 most intense peaks (10 to 90 degrees two-theta), by angle:
2theta	I/Imax
18.36	100
35.96	28
36.57	12
43.40	28
43.48	28
44.33	26
47.70	9
62.88	8
63.17	7
63.35	7